Entry 1:
Starting from a structure optimized by DFT (GGA-PBE), the powder diffractogram of Cu6Ni was computed for λ = 1.5418 Å (Cu Kα).
Intensities are scaled so that the largest is 100.

Most intense lines, 15° ≤ 2θ ≤ 90°, sorted by position:
2θ (°)	I (rel.)	index
25.00	4	1 0 0
25.37	3	0 0 2
28.09	8	1 0 1
35.64	2	1 1 0
35.91	3	1 0 2
37.95	4	1 1 1
44.26	100	1 1 2
46.42	2	1 0 3
51.29	32	2 0 0
52.10	15	0 0 4
75.48	9	2 2 0
76.14	17	2 0 4

Atomic structure:
```
data_Cu6Ni
_chemical_formula_sum 'Cu6 Ni1'
_cell_length_a 3.562
_cell_length_b 3.562
_cell_length_c 7.021
_cell_angle_alpha 90.00
_cell_angle_beta 90.00
_cell_angle_gamma 90.00
_symmetry_space_group_name_H-M 'P 4/m m m'
_symmetry_Int_Tables_number 123
_symmetry_space_group_name_Hall '-P 4 2'
loop_
_atom_site_label
_atom_site_type_symbol
_atom_site_fract_x
_atom_site_fract_y
_atom_site_fract_z
Cu1 Cu 0.000 0.000 0.000
Cu2 Cu 0.000 0.500 0.243
Cu3 Cu 0.500 0.500 0.500
Ni1 Ni 0.000 0.000 0.500
```

Entry 2:
Starting from a structure optimized by DFT (GGA-PBE), the powder diffractogram of Cu5Ni3 was computed for λ = 1.5418 Å (Cu Kα).
Intensities are scaled so that the largest is 100.

Most intense lines, 15° ≤ 2θ ≤ 90°, sorted by position:
2θ (°)	I (rel.)	index
39.46	14	0 0 2
39.58	37	2 1 0
42.33	14	1 0 2
44.46	100	2 1 1
45.16	21	3 0 0
47.64	48	1 1 2
50.13	9	2 0 2
56.64	10	2 2 1
67.73	9	2 2 2
71.81	9	4 1 0
75.06	19	2 1 3
86.64	9	3 3 1

Atomic structure:
```
data_Cu5Ni3
_chemical_formula_sum 'Cu10 Ni6'
_cell_length_a 6.9557
_cell_length_b 6.9557
_cell_length_c 4.5668
_cell_angle_alpha 90.00
_cell_angle_beta 90.00
_cell_angle_gamma 120.00
_symmetry_space_group_name_H-M 'P 63/m c m'
_symmetry_Int_Tables_number 193
_symmetry_space_group_name_Hall '-P 6c 2'
loop_
_atom_site_label
_atom_site_type_symbol
_atom_site_fract_x
_atom_site_fract_y
_atom_site_fract_z
Cu1 Cu 0.0000 0.2228 0.2500
Cu2 Cu 0.3333 0.6667 0.0000
Ni1 Ni 0.0000 0.4084 0.7500
```

Entry 3:
Starting from a structure optimized by DFT (GGA-PBE), the powder diffractogram of Cu5Ni3 was computed for λ = 1.5418 Å (Cu Kα).
Intensities are scaled so that the largest is 100.

Most intense lines, 15° ≤ 2θ ≤ 90°, sorted by position:
2θ (°)	I (rel.)	index
43.84	100	2 2 0
51.07	47	2 0 4
75.12	27	4 0 0

Atomic structure:
```
data_Cu5Ni3
_chemical_formula_sum 'Cu20 Ni12'
_cell_length_a 5.055
_cell_length_b 7.154
_cell_length_c 10.122
_cell_angle_alpha 90.00
_cell_angle_beta 90.00
_cell_angle_gamma 90.00
_symmetry_space_group_name_H-M 'F m m m'
_symmetry_Int_Tables_number 69
_symmetry_space_group_name_Hall '-F 2 2'
loop_
_atom_site_label
_atom_site_type_symbol
_atom_site_fract_x
_atom_site_fract_y
_atom_site_fract_z
Cu1 Cu 0.000 0.000 0.000
Cu2 Cu 0.250 0.250 0.126
Ni1 Ni 0.000 0.000 0.252
Ni2 Ni 0.000 0.000 0.500
```

Entry 4:
Starting from a structure optimized by DFT (GGA-PBE), the powder diffractogram of Cu2Ni5 was computed for λ = 1.5418 Å (Cu Kα).
Intensities are scaled so that the largest is 100.

Most intense lines, 15° ≤ 2θ ≤ 90°, sorted by position:
2θ (°)	I (rel.)	index
34.14	17	0 2 1
43.24	91	2 2 -1
43.54	88	1 3 0
43.70	94	1 1 -2
44.48	100	2 0 1
50.36	58	3 1 -1
51.15	55	1 3 1
51.35	46	0 2 2
76.41	16	1 1 3
84.53	21	1 5 -2
86.20	19	3 3 -3
89.41	18	3 5 -1

Atomic structure:
```
data_Cu2Ni5
_chemical_formula_sum 'Cu4 Ni10'
_cell_length_a 5.709
_cell_length_b 6.742
_cell_length_c 4.375
_cell_angle_alpha 90.00
_cell_angle_beta 106.73
_cell_angle_gamma 90.00
_symmetry_space_group_name_H-M 'C 1 2/m 1'
_symmetry_Int_Tables_number 12
loop_
_symmetry_equiv_pos_as_xyz
'x,y,z'
'-x,-y,-z'
'-x,y,-z'
'x,-y,z'
'x+1/2,y+1/2,z'
'-x+1/2,-y+1/2,-z'
'-x+1/2,y+1/2,-z'
'x+1/2,-y+1/2,z'
loop_
_atom_site_label
_atom_site_type_symbol
_atom_site_fract_x
_atom_site_fract_y
_atom_site_fract_z
Cu1 Cu 0.218 0.000 0.089
Ni1 Ni 0.000 0.000 0.500
Ni2 Ni 0.099 0.319 0.286
```

Entry 5:
Starting from a structure optimized by DFT (GGA-PBE), the powder diffractogram of Cu4Ni5 was computed for λ = 1.5418 Å (Cu Kα).
Intensities are scaled so that the largest is 100.

Most intense lines, 15° ≤ 2θ ≤ 90°, sorted by position:
2θ (°)	I (rel.)	index
44.09	100	3 0 1
51.23	31	3 3 0
51.63	15	0 0 2
75.38	9	6 0 0
75.70	18	3 3 2

Atomic structure:
```
data_Cu4Ni5
_chemical_formula_sum 'Cu8 Ni10'
_cell_length_a 7.565
_cell_length_b 7.565
_cell_length_c 3.541
_cell_angle_alpha 90.00
_cell_angle_beta 90.00
_cell_angle_gamma 90.00
_symmetry_space_group_name_H-M 'I 4/m m m'
_symmetry_Int_Tables_number 139
_symmetry_space_group_name_Hall '-I 4 2'
loop_
_atom_site_label
_atom_site_type_symbol
_atom_site_fract_x
_atom_site_fract_y
_atom_site_fract_z
Cu1 Cu 0.000 0.331 0.000
Ni1 Ni 0.000 0.000 0.000
Ni2 Ni 0.165 0.165 0.500
```

Entry 6:
Starting from a structure optimized by DFT (GGA-PBE), the powder diffractogram of Cu6Ni was computed for λ = 1.5418 Å (Cu Kα).
Intensities are scaled so that the largest is 100.

Most intense lines, 15° ≤ 2θ ≤ 90°, sorted by position:
2θ (°)	I (rel.)	index
44.73	100	1 1 0
65.11	15	0 2 7
82.45	29	3 0 0

Atomic structure:
```
data_Cu6Ni
_chemical_formula_sum 'Cu18 Ni3'
_cell_length_a 4.0509
_cell_length_b 4.0509
_cell_length_c 17.3813
_cell_angle_alpha 90.00
_cell_angle_beta 90.00
_cell_angle_gamma 120.00
_symmetry_space_group_name_H-M 'R -3 m'
_symmetry_Int_Tables_number 166
_symmetry_space_group_name_Hall '-R 3 2"'
loop_
_atom_site_label
_atom_site_type_symbol
_atom_site_fract_x
_atom_site_fract_y
_atom_site_fract_z
Cu1 Cu 0.0000 0.0000 0.0726
Cu2 Cu 0.0000 0.0000 0.2145
Cu3 Cu 0.0000 0.0000 0.3578
Ni1 Ni 0.0000 0.0000 0.5000
```

Entry 7:
Starting from a structure optimized by DFT (GGA-PBE), the powder diffractogram of Cu3Ni5 was computed for λ = 1.5418 Å (Cu Kα).
Intensities are scaled so that the largest is 100.

Most intense lines, 15° ≤ 2θ ≤ 90°, sorted by position:
2θ (°)	I (rel.)	index
44.03	34	0 0 6
44.18	100	2 0 2
51.42	62	0 2 4
75.59	18	2 0 8
75.80	18	2 2 0

Atomic structure:
```
data_Cu3Ni5
_chemical_formula_sum 'Cu9 Ni15'
_cell_length_a 5.0198
_cell_length_b 5.0198
_cell_length_c 12.3409
_cell_angle_alpha 90.00
_cell_angle_beta 90.00
_cell_angle_gamma 120.00
_symmetry_space_group_name_H-M 'R -3 m'
_symmetry_Int_Tables_number 166
_symmetry_space_group_name_Hall '-R 3 2"'
loop_
_atom_site_label
_atom_site_type_symbol
_atom_site_fract_x
_atom_site_fract_y
_atom_site_fract_z
Cu1 Cu 0.0000 0.5000 0.0000
Ni1 Ni 0.0000 0.0000 0.0000
Ni2 Ni 0.0000 0.0000 0.5000
Ni3 Ni 0.0000 0.5000 0.5000
```